BaAlNi4O7: calculated PXRD pattern (Cu Kα (weighted mean of Kα1 and Kα2)), based on the GGA+U geometry in Alexandria.
Intensities are scaled so that the largest is 100.

Crystal structure
Lattice parameters (Å, degrees): 5.9897 5.9897 10.1418 90.00 90.00 120.00
Space group P6_3mc (No. 186)
Asymmetric unit:
1 Ba 0.3333 0.6667 0.0000 [2 per cell]
2 Al 0.3333 0.6667 0.3797 [2 per cell]
3 Ni 0.0000 0.0000 0.4523 [2 per cell]
4 Ni 0.1738 0.3476 0.6999 [6 per cell]
5 O 0.0000 0.0000 0.2698 [2 per cell]
6 O 0.0209 0.5105 0.2824 [6 per cell]
7 O 0.1750 0.3500 0.5039 [6 per cell]

Top 6 peaks for 10 to 90 degrees two-theta, most intense first:
35.73 deg, intensity 100, hkl 2 0 1; 34.79 deg, intensity 93, hkl 1 1 2; 31.59 deg, intensity 61, hkl 1 0 3; 57.70 deg, intensity 39, hkl 2 0 5; 61.97 deg, intensity 35, hkl 2 2 0; 19.22 deg, intensity 34, hkl 1 0 1